(1)
Starting from a structure optimized by DFT (PBE), the powder diffraction line list of Ba4Hg3 was simulated for λ = 1.5418 Å (Cu Kα).
Neutral-atom scattering factors, no anomalous dispersion.

Main lines, most intense first (10 to 90 degrees two-theta):
2θ/deg	Rel. int.
30.06	100.0
53.39	40.0
86.66	21.1
43.04	18.8
70.90	17.3
62.49	12.5
18.28	6.8
17.49	6.2

```
7
Lattice="2.973 1.717 9.701 -2.973 1.717 9.701 0.000 -3.433 9.701" Properties=species:S:1:pos:R:3 pbc="T T T"
Ba 0.000 0.000 3.586
Ba 0.000 0.000 10.864
Ba 0.000 0.000 18.240
Ba 0.000 0.000 25.517
Hg 0.000 0.000 0.000
Hg 0.000 0.000 7.226
Hg 0.000 0.000 21.877
```

=====

(2)
Starting from a structure optimized by DFT (PBE), the powder diffraction line list of BaHoHg was simulated for λ = 1.5418 Å (Cu Kα).
Neutral-atom scattering factors, no anomalous dispersion.

Main lines, most intense first (10 to 90 degrees two-theta):
2θ/deg	Rel. int.
29.86	100.0
32.03	61.4
55.75	34.9
12.89	34.8
45.93	22.7
39.96	21.1
52.02	20.8
71.89	16.1

```
3
Lattice="-1.976 1.976 6.870 1.976 -1.976 6.870 1.976 1.976 -6.870" Properties=species:S:1:pos:R:3 pbc="T T T"
Ba 0.000 0.000 0.000
Ho 0.000 0.000 3.763
Hg 0.000 0.000 9.346
```

=====

(3)
Starting from a structure optimized by DFT (PBE), the powder diffraction line list of Ba2LiHoHg6 was simulated for λ = 1.5418 Å (Cu Kα).
Neutral-atom scattering factors, no anomalous dispersion.

Main lines, most intense first (10 to 90 degrees two-theta):
2θ/deg	Rel. int.
31.20	100.0
34.94	81.7
32.64	66.0
25.29	62.0
26.64	31.2
36.88	26.5
13.23	26.0
25.91	25.7

```
10
Lattice="6.909 0.000 0.000 3.434 6.748 0.000 3.444 0.889 6.878" Properties=species:S:1:pos:R:3 pbc="T T T"
Ba 3.456 2.227 1.407
Ba 10.331 5.410 5.471
Li 6.894 3.819 3.439
Ho 0.000 0.000 0.000
Hg 5.263 5.291 1.815
Hg 6.879 6.442 4.152
Hg 5.257 2.357 5.053
Hg 8.530 5.280 1.825
Hg 6.908 1.195 2.725
Hg 8.524 2.346 5.063
```

=====

(4)
Starting from a structure optimized by DFT (PBE), the powder diffraction line list of Ba2HoHgO4 was simulated for λ = 1.5418 Å (Cu Kα).
Neutral-atom scattering factors, no anomalous dispersion.

Main lines, most intense first (10 to 90 degrees two-theta):
2θ/deg	Rel. int.
26.90	100.0
53.16	30.3
44.51	29.8
31.36	27.0
52.39	15.8
44.94	14.5
30.77	14.2
71.46	12.8

```
8
Lattice="-2.852 2.852 5.812 2.852 -2.852 5.812 2.852 2.852 -5.812" Properties=species:S:1:pos:R:3 pbc="T T T"
Ba 0.000 0.000 0.000
Ba 0.000 2.852 2.906
Ho 0.000 0.000 5.812
Hg 2.852 0.000 2.906
O 1.654 1.569 -1.246
O 1.283 -1.198 7.057
O 1.198 1.283 4.566
O 1.569 4.051 1.246
```